Na2HoFeO4: calculated X-ray powder pattern (Cu Kα (weighted mean of Kα1 and Kα2)), based on a cell relaxed with PBE+U.

Crystal structure
```
data_Na2HoFeO4
_chemical_formula_sum 'Na8 Ho4 Fe4 O16'
_cell_length_a 6.3878
_cell_length_b 6.7121
_cell_length_c 9.2073
_cell_angle_alpha 90.00
_cell_angle_beta 90.00
_cell_angle_gamma 90.00
_symmetry_space_group_name_H-M 'I m m a'
_symmetry_Int_Tables_number 74
_symmetry_space_group_name_Hall '-I 2b 2'
loop_
_atom_site_label
_atom_site_type_symbol
_atom_site_fract_x
_atom_site_fract_y
_atom_site_fract_z
_atom_site_occupancy
Na1 Na 0.0000 0.0000 0.0000 1
Na2 Na 0.2500 0.2500 0.2500 1
Ho1 Ho 0.0000 0.0000 0.5000 1
Fe1 Fe 0.2500 0.2500 0.7500 1
O1 O 0.0000 0.0391 0.7446 1
O2 O 0.2338 0.2500 0.5196 1
```

Principal peaks in the range 10 to 90 degrees two-theta, low angle first:
2θ/deg	I (rel.)	h k l
16.3	13	0 1 1
16.9	100	1 0 1
19.3	18	0 0 2
31.6	39	1 2 1
32.4	19	1 0 3
33.0	42	0 2 2
34.2	37	2 0 2
38.9	67	2 2 0
39.1	33	0 0 4
42.3	17	1 2 3
56.4	41	2 2 4
57.7	18	4 0 0